(1)
For TlHg2H8, a DFT-relaxed cell (PBE, Alexandria) gives the computed XRD peak list in this record (Cu Ka).
Neutral-atom scattering factors, no anomalous dispersion.

Peak list (10 most intense, 2θ = 10–90°, in order of falling intensity)
2θ 18.2, 4.888 Å, I = 100, (0 1 -1)
2θ 28.3, 3.150 Å, I = 35, (0 1 2)
2θ 29.5, 3.031 Å, I = 31, (0 2 1)
2θ 27.8, 3.211 Å, I = 27, (1 1 1)
2θ 32.1, 2.792 Å, I = 22, (1 -1 0)
2θ 31.7, 2.821 Å, I = 21, (1 0 -1)
2θ 56.5, 1.629 Å, I = 20, (0 3 3)
2θ 32.7, 2.738 Å, I = 20, (1 0 2)
2θ 36.8, 2.444 Å, I = 17, (0 2 -2)
2θ 37.8, 2.381 Å, I = 17, (0 0 3)

Structure:
```
data_TlHg2H8
_cell_length_a 3.4896
_cell_length_b 6.8285
_cell_length_c 7.3012
_cell_angle_alpha 87.73
_cell_angle_beta 78.03
_cell_angle_gamma 78.78
_symmetry_space_group_name_H-M 'P 1'
_symmetry_Int_Tables_number 1
_symmetry_space_group_name_Hall 'P 1'
loop_
_atom_site_label
_atom_site_fract_x
_atom_site_fract_y
_atom_site_fract_z
Tl1 0.0000 0.0000 0.0000
Hg1 0.2423 0.3210 0.3341
Hg2 0.7577 0.6790 0.6659
H1 0.0810 0.4549 0.9829
H2 0.1102 0.0962 0.3437
H3 0.3742 0.5441 0.3260
H4 0.4550 0.1735 0.9566
H5 0.5450 0.8265 0.0434
H6 0.6258 0.4559 0.6740
H7 0.8898 0.9038 0.6563
H8 0.9190 0.5451 0.0171
```


(2)
For Tb4CO2, a DFT-relaxed cell (PBE, Alexandria) gives the computed XRD peak list in this record (Cu Ka).
Neutral-atom scattering factors, no anomalous dispersion.

Peak list (10 most intense, 2θ = 10–90°, in order of falling intensity)
2θ 30.6, 2.925 Å, I = 100, (2 0 2)
2θ 35.4, 2.534 Å, I = 57, (0 0 4)
2θ 51.0, 1.791 Å, I = 43, (2 2 4)
2θ 60.6, 1.528 Å, I = 41, (2 0 6)
2θ 85.7, 1.133 Å, I = 16, (2 2 8)
2θ 83.1, 1.162 Å, I = 16, (4 2 6)
2θ 63.6, 1.463 Å, I = 13, (4 0 4)
2θ 75.0, 1.267 Å, I = 6, (0 0 8)
2θ 58.3, 1.582 Å, I = 2, (4 2 1)
2θ 46.6, 1.950 Å, I = 2, (3 2 1)

Structure:
```
data_Tb4CO2
_cell_length_a 7.1634
_cell_length_b 7.1634
_cell_length_c 10.1414
_cell_angle_alpha 90.00
_cell_angle_beta 90.00
_cell_angle_gamma 90.00
_symmetry_space_group_name_H-M 'P 1'
_symmetry_Int_Tables_number 1
_symmetry_space_group_name_Hall 'P 1'
loop_
_atom_site_label
_atom_site_fract_x
_atom_site_fract_y
_atom_site_fract_z
Tb1 0.0051 0.2425 0.2486
Tb2 0.0051 0.7575 0.2514
Tb3 0.2423 0.4782 0.9951
Tb4 0.2423 0.5218 0.5049
Tb5 0.2425 0.0051 0.5014
Tb6 0.2425 0.9949 0.9986
Tb7 0.4782 0.2423 0.7549
Tb8 0.4782 0.7577 0.7451
Tb9 0.5218 0.2423 0.2451
Tb10 0.5218 0.7577 0.2549
Tb11 0.7575 0.0051 0.4986
Tb12 0.7575 0.9949 0.0014
Tb13 0.7577 0.4782 0.0049
Tb14 0.7577 0.5218 0.4951
Tb15 0.9949 0.2425 0.7514
Tb16 0.9949 0.7575 0.7486
C1 0.2450 0.5000 0.7500
C2 0.5000 0.2450 0.0000
C3 0.5000 0.7550 0.5000
C4 0.7550 0.5000 0.2500
O1 0.0000 0.2474 0.0000
O2 0.0000 0.7526 0.5000
O3 0.2474 0.0000 0.7500
O4 0.2683 0.2683 0.3750
O5 0.2683 0.7317 0.1250
O6 0.7317 0.2683 0.6250
O7 0.7317 0.7317 0.8750
O8 0.7526 0.0000 0.2500
```